Structure and computed PXRD pattern of CoSnHgS3 (a PBE-relaxed structure; λ = 1.5418 Å (Cu Kα)).
Neutral-atom scattering factors, no anomalous dispersion.

Largest 10 diffraction maxima, most intense first, 2θ = 10–80°:
20.66°, d = 4.299 Å, I = 100.0; 30.54°, d = 2.928 Å, I = 94.9; 31.72°, d = 2.821 Å, I = 87.6; 35.73°, d = 2.513 Å, I = 49.8; 25.86°, d = 3.445 Å, I = 46.9; 42.00°, d = 2.151 Å, I = 43.3; 32.55°, d = 2.751 Å, I = 39.6; 53.12°, d = 1.724 Å, I = 31.0; 63.71°, d = 1.461 Å, I = 30.9; 46.09°, d = 1.969 Å, I = 30.2

Structure:
Lattice parameters (Å, degrees): 7.1177 7.1177 11.0027 90.00 90.00 150.92
Atoms (fractional coordinates):
Co (0.0821, 0.9179, 0.7500)
Co (0.9179, 0.0821, 0.2500)
Sn (0.2167, 0.7833, 0.2500)
Sn (0.7833, 0.2167, 0.7500)
Hg (0.5000, 0.5000, 0.0000)
Hg (0.5000, 0.5000, 0.5000)
S (0.1909, 0.8091, 0.6077)
S (0.1909, 0.8091, 0.8923)
S (0.4901, 0.5099, 0.7500)
S (0.5099, 0.4901, 0.2500)
S (0.8091, 0.1909, 0.1077)
S (0.8091, 0.1909, 0.3923)